Structure and computed powder diffractogram of Ac8Ge5Ir (a DFT-relaxed cell (GGA-PBE, Alexandria); Cu Kα (λ = 1.5418 Å)).
Intensities are scaled so that the largest is 100.

Principal peaks in the range 10 to 80 degrees two-theta, low angle first:
| h k l | Position (°2θ) | I/Imax |
| --- | --- | --- |
| 1 2 1 | 22.49 | 15 |
| 2 0 2 | 25.87 | 27 |
| 1 0 3 | 28.78 | 57 |
| 1 3 0 | 29.23 | 100 |
| 1 2 3 | 34.36 | 29 |
| 1 3 2 | 34.59 | 33 |
| 2 3 1 | 34.73 | 27 |
| 4 2 2 | 45.92 | 19 |
| 1 3 4 | 47.50 | 16 |
| 1 4 3 | 47.75 | 20 |
| 4 3 1 | 48.03 | 26 |
| 7 1 2 | 71.80 | 14 |

Cell and atoms:
Cell lengths 9.653, 9.653, 9.829 Å; angles 90.00, 90.00, 90.00 degrees
Space group I-4 (No. 82)
Unique sites:
Ac 0.062 0.184 0.187 (multiplicity 8)
Ac 0.063 0.300 0.559 (multiplicity 8)
Ge 0.000 0.500 0.250 (multiplicity 2)
Ge 0.119 0.252 0.876 (multiplicity 8)
Ir 0.000 0.000 0.500 (multiplicity 2)